TbNd2Er8: theoretical XRD peak list (a wavelength of 1.5418 Å), based on a DFT-relaxed cell (GGA-PBE, Alexandria).
No peak broadening, texture or thermal motion is included.

Peak list (7 most intense, 2θ = 5–70°, sorted by position)
d = 2.892 Å, 30.9°, I = 100, (1 1 2)
d = 2.505 Å, 35.9°, I = 51, (2 1 -1)
d = 1.773 Å, 51.6°, I = 6, (1 2 -4)
d = 1.771 Å, 51.6°, I = 30, (3 0 2)
d = 1.511 Å, 61.4°, I = 18, (3 1 -4)
d = 1.510 Å, 61.4°, I = 25, (3 2 1)
d = 1.446 Å, 64.4°, I = 12, (4 -2 0)

Structural model:
```
data_TbNd2Er8
_symmetry_space_group_name_H-M 'P 1'
_symmetry_Int_Tables_number 1
_symmetry_space_group_name_Hall 'P 1'
_cell_length_a 6.133
_cell_length_b 6.136
_cell_length_c 9.375
_cell_angle_alpha 90.06
_cell_angle_beta 96.29
_cell_angle_gamma 99.57
loop_
_atom_site_label
_atom_site_type_symbol
_atom_site_fract_x
_atom_site_fract_y
_atom_site_fract_z
Tb1 Tb 0.000 0.000 0.000
Nd1 Nd 0.363 0.726 0.454
Nd2 Nd 0.637 0.274 0.546
Er1 Er 0.089 0.181 0.361
Er2 Er 0.182 0.362 0.730
Er3 Er 0.273 0.546 0.090
Er4 Er 0.456 0.908 0.821
Er5 Er 0.544 0.092 0.179
Er6 Er 0.727 0.454 0.910
Er7 Er 0.818 0.638 0.270
Er8 Er 0.911 0.819 0.639
```